[1]
Starting from a cell relaxed with PBE+U, the X-ray powder pattern of KMnH5S2O10 was calculated for Cu Kα (weighted mean of Kα1 and Kα2).
Lines closer than 0.1° are merged.

Crystal structure
a b c (Å): 4.779 5.946 8.382
angles (deg): 103.52 98.98 96.81
Element x y z (fractional)
K (0.000, 0.000, 0.000)
Mn (0.998, 0.001, 0.508)
H (0.044, 0.654, 0.682)
H (0.355, 0.705, 0.639)
H (0.489, 0.521, 0.015)
H (0.632, 0.283, 0.378)
H (0.934, 0.337, 0.327)
S (0.373, 0.674, 0.259)
S (0.612, 0.320, 0.752)
O (0.182, 0.772, 0.655)
O (0.200, 0.864, 0.292)
O (0.209, 0.439, 0.231)
O (0.364, 0.280, 0.611)
O (0.472, 0.691, 0.093)
O (0.509, 0.306, 0.911)
O (0.629, 0.713, 0.393)
O (0.779, 0.555, 0.776)
O (0.791, 0.131, 0.716)
O (0.801, 0.215, 0.352)

Most intense lines, 2θ from 15° to 90°, most intense first:
2θ = 16.6°, I = 100.0
2θ = 26.6°, I = 99.9
2θ = 26.5°, I = 60.2
2θ = 31.6°, I = 40.3
2θ = 23.7°, I = 39.8
2θ = 25.4°, I = 37.5
2θ = 30.4°, I = 36.1
2θ = 23.9°, I = 34.0
2θ = 25.1°, I = 34.0
2θ = 39.6°, I = 28.9
2θ = 32.2°, I = 27.7
2θ = 33.6°, I = 19.9

=====

[2]
Starting from a cell relaxed with PBE+U, the X-ray powder pattern of KMnH5S2O10 was calculated for Cu Kα (weighted mean of Kα1 and Kα2).
Lines closer than 0.1° are merged.

Crystal structure
a b c (Å): 6.257 6.720 6.975
angles (deg): 84.07 80.63 71.03
Element x y z (fractional)
K (0.000, 0.000, 0.000)
Mn (0.376, 0.335, 0.291)
H (0.010, 0.927, 0.580)
H (0.148, 0.371, 0.764)
H (0.708, 0.310, 0.510)
H (0.718, 0.909, 0.358)
H (0.747, 0.464, 0.333)
S (0.324, 0.978, 0.400)
S (0.428, 0.458, 0.833)
O (0.117, 0.420, 0.502)
O (0.120, 0.985, 0.622)
O (0.173, 0.594, 0.398)
O (0.202, 0.365, 0.893)
O (0.455, 0.492, 0.041)
O (0.504, 0.873, 0.571)
O (0.531, 0.026, 0.230)
O (0.623, 0.273, 0.758)
O (0.705, 0.336, 0.365)
O (0.742, 0.829, 0.491)

Most intense lines, 2θ from 15° to 90°, most intense first:
2θ = 15.1°, I = 100.0
2θ = 19.6°, I = 74.4
2θ = 28.1°, I = 50.9
2θ = 28.2°, I = 40.8
2θ = 27.4°, I = 35.7
2θ = 17.1°, I = 35.4
2θ = 31.5°, I = 29.8
2θ = 30.2°, I = 27.8
2θ = 28.9°, I = 26.5
2θ = 27.7°, I = 24.6
2θ = 18.5°, I = 23.8
2θ = 25.9°, I = 20.1

=====

[3]
Starting from a cell relaxed with PBE+U, the X-ray powder pattern of K2MnH4Se2O10 was calculated for Cu Kα (weighted mean of Kα1 and Kα2).
Lines closer than 0.1° are merged.

Crystal structure
a b c (Å): 6.139 7.794 7.954
angles (deg): 66.85 77.95 73.21
Element x y z (fractional)
K (0.166, 0.255, 0.130)
K (0.834, 0.745, 0.870)
Mn (0.000, 0.500, 0.500)
H (0.389, 0.982, 0.725)
H (0.403, 0.166, 0.764)
H (0.597, 0.834, 0.236)
H (0.611, 0.018, 0.275)
Se (0.399, 0.678, 0.592)
Se (0.601, 0.322, 0.408)
O (0.099, 0.455, 0.751)
O (0.257, 0.827, 0.705)
O (0.319, 0.372, 0.376)
O (0.343, 0.434, 0.763)
O (0.493, 0.048, 0.745)
O (0.507, 0.952, 0.255)
O (0.657, 0.566, 0.237)
O (0.681, 0.628, 0.624)
O (0.743, 0.173, 0.295)
O (0.901, 0.545, 0.249)

Most intense lines, 2θ from 15° to 90°, most intense first:
2θ = 20.5°, I = 100.0
2θ = 28.0°, I = 46.0
2θ = 18.4°, I = 43.8
2θ = 32.3°, I = 40.9
2θ = 30.3°, I = 40.5
2θ = 35.0°, I = 39.0
2θ = 23.7°, I = 29.8
2θ = 17.4°, I = 29.0
2θ = 24.3°, I = 23.0
2θ = 31.8°, I = 22.9
2θ = 45.0°, I = 19.5
2θ = 29.6°, I = 19.3